This entry pairs a crystal structure of CdCuP2O8 with its simulated powder X-ray diffraction pattern. Radiation: Cu Kα X-rays. Structure: DFT lattice parameters and positions (PBE).
No peak broadening, texture or thermal motion is included.

Top 6 peaks for 2θ = 10–90°, low angle first:
| two_theta | d [Å] | intensity | hkl |
| --- | --- | --- | --- |
| 23.6 | 3.774 | 19.6 | 0 1 2 |
| 27.7 | 3.225 | 100.0 | 1 0 4 |
| 38.7 | 2.327 | 34.0 | 1 1 0 |
| 40.3 | 2.236 | 25.1 | 0 1 8 |
| 46.5 | 1.952 | 26.0 | 1 1 6 |
| 65.8 | 1.420 | 18.3 | 2 -1 12 |

abc: 4.6539 4.6539 21.5042
angles: 90.00 90.00 120.00
Space group R-3 (No. 148, hexagonal axes)
Unique sites:
Cd 0.0000 0.0000 0.0000 (multiplicity 3)
Cu 0.0000 0.0000 0.5000 (multiplicity 3)
P 0.0000 0.0000 0.2439 (multiplicity 6)
O 0.0000 0.0000 0.3162 (multiplicity 6)
O 0.0079 0.6852 0.2228 (multiplicity 18)

***

This entry pairs a crystal structure of ThH8Ir2 with its simulated powder X-ray diffraction pattern. Radiation: Cu Kα X-rays. Structure: DFT lattice parameters and positions (PBE).
No peak broadening, texture or thermal motion is included.

Top 6 peaks for 2θ = 10–90°, low angle first:
| two_theta | d [Å] | intensity | hkl |
| --- | --- | --- | --- |
| 21.6 | 4.123 | 40.2 | 1 0 1 |
| 33.4 | 2.682 | 100.0 | 1 1 2 |
| 37.2 | 2.416 | 18.3 | 0 0 4 |
| 39.5 | 2.280 | 30.9 | 2 0 0 |
| 55.4 | 1.658 | 24.6 | 2 0 4 |
| 67.8 | 1.382 | 26.7 | 3 1 2 |

abc: 4.559 4.559 9.664
angles: 90.00 90.00 90.00
Space group I4/mmm (No. 139)
Unique sites:
Th 0.000 0.000 0.000 (multiplicity 2)
H 0.222 0.222 0.342 (multiplicity 16)
Ir 0.000 0.500 0.250 (multiplicity 4)

***

This entry pairs a crystal structure of NdZn2Pt8 with its simulated powder X-ray diffraction pattern. Radiation: Cu Kα X-rays. Structure: DFT lattice parameters and positions (PBE).
No peak broadening, texture or thermal motion is included.

Top 6 peaks for 2θ = 10–90°, low angle first:
| two_theta | d [Å] | intensity | hkl |
| --- | --- | --- | --- |
| 21.1 | 4.213 | 58.0 | 0 0 2 |
| 33.9 | 2.641 | 40.7 | 2 0 0 |
| 40.3 | 2.238 | 100.0 | 2 0 2 |
| 48.8 | 1.868 | 31.8 | 2 2 0 |
| 53.7 | 1.707 | 19.9 | 2 2 2 |
| 85.3 | 1.137 | 24.1 | 4 2 2 |

abc: 5.282 5.282 8.425
angles: 90.00 90.00 90.00
Space group P4/mmm (No. 123)
Unique sites:
Nd 0.000 0.000 0.000 (multiplicity 1)
Zn 0.000 0.500 0.500 (multiplicity 2)
Pt 0.253 0.253 0.276 (multiplicity 8)

***

This entry pairs a crystal structure of HoPu2 with its simulated powder X-ray diffraction pattern. Radiation: Cu Kα X-rays. Structure: DFT lattice parameters and positions (PBE).
No peak broadening, texture or thermal motion is included.

Top 6 peaks for 2θ = 10–90°, low angle first:
| two_theta | d [Å] | intensity | hkl |
| --- | --- | --- | --- |
| 34.2 | 2.621 | 100.0 | 3 1 1 |
| 35.8 | 2.510 | 53.2 | 2 2 2 |
| 54.9 | 1.673 | 35.6 | 5 1 1 |
| 60.2 | 1.537 | 33.1 | 4 4 0 |
| 72.1 | 1.311 | 21.9 | 6 2 2 |
| 85.9 | 1.132 | 23.4 | 7 3 1 |

abc: 8.694 8.694 8.694
angles: 90.00 90.00 90.00
Space group Fd-3m (No. 227, origin choice 2)
Unique sites:
Ho 0.125 0.125 0.125 (multiplicity 8)
Pu 0.000 0.000 0.500 (multiplicity 16)

***

This entry pairs a crystal structure of Zn2Sb2Pd with its simulated powder X-ray diffraction pattern. Radiation: Cu Kα X-rays. Structure: DFT lattice parameters and positions (PBE).
No peak broadening, texture or thermal motion is included.

Top 6 peaks for 2θ = 10–90°, low angle first:
| two_theta | d [Å] | intensity | hkl |
| --- | --- | --- | --- |
| 22.3 | 3.994 | 24.9 | 0 0 1 |
| 28.1 | 3.171 | 25.0 | 1 1 1 |
| 35.3 | 2.544 | 100.0 | 2 1 1 |
| 38.6 | 2.333 | 41.4 | 3 1 0 |
| 41.3 | 2.184 | 20.9 | 2 2 1 |
| 45.4 | 1.997 | 20.8 | 0 0 2 |

abc: 7.377 7.377 3.994
angles: 90.00 90.00 90.00
Space group P4/mbm (No. 127)
Unique sites:
Zn 0.126 0.374 0.000 (multiplicity 4)
Sb 0.183 0.683 0.500 (multiplicity 4)
Pd 0.000 0.000 0.500 (multiplicity 2)

***

This entry pairs a crystal structure of VCo3H with its simulated powder X-ray diffraction pattern. Radiation: Cu Kα X-rays. Structure: DFT lattice parameters and positions (PBE).
No peak broadening, texture or thermal motion is included.

Top 6 peaks for 2θ = 10–90°, low angle first:
| two_theta | d [Å] | intensity | hkl |
| --- | --- | --- | --- |
| 41.0 | 2.200 | 25.8 | 2 1 0 |
| 44.5 | 2.034 | 39.4 | 0 0 2 |
| 46.3 | 1.959 | 53.2 | 0 2 1 |
| 47.0 | 1.935 | 100.0 | 2 1 1 |
| 73.8 | 1.284 | 15.2 | 2 3 0 |
| 83.8 | 1.154 | 15.9 | 2 1 3 |

abc: 5.054 4.471 4.069
angles: 90.00 90.00 90.00
Space group Pmn2_1 (No. 31)
Unique sites:
V 0.000 0.149 0.000 (multiplicity 2)
Co 0.000 0.834 0.490 (multiplicity 2)
Co 0.249 0.671 0.994 (multiplicity 4)
H 0.000 0.507 0.733 (multiplicity 2)

***

This entry pairs a crystal structure of Sc6Ga16Ir7 with its simulated powder X-ray diffraction pattern. Radiation: Cu Kα X-rays. Structure: DFT lattice parameters and positions (PBE).
No peak broadening, texture or thermal motion is included.

Top 6 peaks for 2θ = 10–90°, low angle first:
| two_theta | d [Å] | intensity | hkl |
| --- | --- | --- | --- |
| 12.3 | 7.194 | 11.8 | 1 1 1 |
| 24.8 | 3.597 | 44.4 | 2 2 2 |
| 41.0 | 2.203 | 100.0 | 4 4 0 |
| 48.5 | 1.879 | 29.6 | 6 2 2 |
| 59.3 | 1.558 | 12.9 | 8 0 0 |
| 74.6 | 1.272 | 24.2 | 8 4 4 |

abc: 12.461 12.461 12.461
angles: 90.00 90.00 90.00
Space group Fm-3m (No. 225)
Unique sites:
Sc 0.000 0.000 0.220 (multiplicity 24)
Ga 0.124 0.124 0.376 (multiplicity 32)
Ga 0.154 0.154 0.154 (multiplicity 32)
Ir 0.000 0.000 0.500 (multiplicity 4)
Ir 0.000 0.250 0.250 (multiplicity 24)

***

This entry pairs a crystal structure of KSrInAs2 with its simulated powder X-ray diffraction pattern. Radiation: Cu Kα X-rays. Structure: DFT lattice parameters and positions (PBE).
No peak broadening, texture or thermal motion is included.

Top 6 peaks for 2θ = 10–90°, low angle first:
| two_theta | d [Å] | intensity | hkl |
| --- | --- | --- | --- |
| 10.1 | 8.771 | 100.0 | 0 0 1 |
| 25.5 | 3.495 | 26.0 | 3 1 -1 |
| 30.6 | 2.924 | 25.3 | 0 0 3 |
| 33.5 | 2.674 | 51.9 | 5 1 -1 |
| 34.1 | 2.632 | 51.5 | 3 1 -3 |
| 40.0 | 2.253 | 26.9 | 0 2 0 |

abc: 16.739 4.506 9.839
angles: 90.00 116.94 90.00
Space group C2/m (No. 12)
Unique sites:
K 0.099 0.000 0.431 (multiplicity 4)
Sr 0.230 0.000 0.156 (multiplicity 4)
In 0.057 0.500 0.893 (multiplicity 4)
As 0.121 0.000 0.801 (multiplicity 4)
As 0.121 0.500 0.207 (multiplicity 4)

***

This entry pairs a crystal structure of MgPaSnO6 with its simulated powder X-ray diffraction pattern. Radiation: Cu Kα X-rays. Structure: DFT lattice parameters and positions (PBE).
No peak broadening, texture or thermal motion is included.

Top 6 peaks for 2θ = 10–90°, low angle first:
| two_theta | d [Å] | intensity | hkl |
| --- | --- | --- | --- |
| 20.2 | 4.403 | 68.4 | 1 0 1 |
| 25.6 | 3.475 | 100.0 | 1 1 0 |
| 31.4 | 2.845 | 24.3 | 1 1 2 |
| 32.7 | 2.741 | 83.8 | 1 0 3 |
| 36.6 | 2.457 | 23.8 | 2 0 0 |
| 49.8 | 1.830 | 71.4 | 2 1 3 |

abc: 4.915 4.915 9.907
angles: 90.00 90.00 90.00
Space group P4_2nm (No. 102)
Unique sites:
Mg 0.000 0.000 0.000 (multiplicity 2)
Pa 0.000 0.000 0.332 (multiplicity 2)
Sn 0.000 0.000 0.666 (multiplicity 2)
O 0.189 0.189 0.831 (multiplicity 4)
O 0.197 0.197 0.505 (multiplicity 4)
O 0.200 0.200 0.164 (multiplicity 4)

***

This entry pairs a crystal structure of Tl5HgPd6 with its simulated powder X-ray diffraction pattern. Radiation: Cu Kα X-rays. Structure: DFT lattice parameters and positions (PBE).
No peak broadening, texture or thermal motion is included.

Top 6 peaks for 2θ = 10–90°, low angle first:
| two_theta | d [Å] | intensity | hkl |
| --- | --- | --- | --- |
| 37.3 | 2.409 | 100.0 | 2 2 1 |
| 37.5 | 2.400 | 49.4 | 6 0 0 |
| 37.7 | 2.385 | 48.6 | 2 0 -2 |
| 37.9 | 2.373 | 95.8 | 4 2 -1 |
| 53.3 | 1.717 | 18.0 | 4 0 2 |
| 67.1 | 1.394 | 18.0 | 8 2 1 |

abc: 15.038 6.759 4.772
angles: 90.00 106.78 90.00
Space group C2/m (No. 12)
Unique sites:
Tl 0.000 0.000 0.000 (multiplicity 2)
Tl 0.165 0.500 0.666 (multiplicity 4)
Tl 0.168 0.000 0.667 (multiplicity 4)
Hg 0.000 0.500 0.000 (multiplicity 2)
Pd 0.000 0.249 0.500 (multiplicity 4)
Pd 0.166 0.250 0.166 (multiplicity 8)

***

This entry pairs a crystal structure of La3HoTm7 with its simulated powder X-ray diffraction pattern. Radiation: Cu Kα X-rays. Structure: DFT lattice parameters and positions (PBE).
No peak broadening, texture or thermal motion is included.

Top 6 peaks for 2θ = 10–90°, low angle first:
| two_theta | d [Å] | intensity | hkl |
| --- | --- | --- | --- |
| 31.2 | 2.866 | 26.7 | 1 -1 2 |
| 31.7 | 2.822 | 100.0 | 1 2 0 |
| 32.1 | 2.788 | 50.8 | 1 2 2 |
| 32.6 | 2.746 | 58.7 | 2 0 0 |
| 32.8 | 2.734 | 58.6 | 1 0 3 |
| 52.7 | 1.738 | 18.6 | 0 4 2 |

abc: 5.491 6.958 9.992
angles: 71.15 89.99 89.94
Space group P-1 (No. 2)
Unique sites:
La 0.000 0.000 0.000 (multiplicity 1)
La 0.500 0.281 0.506 (multiplicity 2)
Ho 0.000 0.500 0.000 (multiplicity 1)
Tm 0.000 0.000 0.500 (multiplicity 1)
Tm 0.000 0.428 0.671 (multiplicity 2)
Tm 0.500 0.149 0.210 (multiplicity 2)
Tm 0.500 0.324 0.866 (multiplicity 2)

***

This entry pairs a crystal structure of Mn4Cd2Pd with its simulated powder X-ray diffraction pattern. Radiation: Cu Kα X-rays. Structure: DFT lattice parameters and positions (PBE).
No peak broadening, texture or thermal motion is included.

Top 6 peaks for 2θ = 10–90°, low angle first:
| two_theta | d [Å] | intensity | hkl |
| --- | --- | --- | --- |
| 12.9 | 6.852 | 43.0 | 0 0 2 |
| 26.1 | 3.413 | 67.9 | 1 1 0 |
| 37.2 | 2.414 | 100.0 | 2 0 0 |
| 37.7 | 2.383 | 70.2 | 1 0 5 |
| 53.7 | 1.706 | 23.9 | 2 2 0 |
| 54.1 | 1.696 | 47.3 | 2 1 5 |

abc: 4.826 4.826 13.703
angles: 90.00 90.00 90.00
Space group I4/mmm (No. 139)
Unique sites:
Mn 0.000 0.000 0.183 (multiplicity 4)
Mn 0.000 0.500 0.000 (multiplicity 4)
Cd 0.000 0.000 0.382 (multiplicity 4)
Pd 0.000 0.000 0.000 (multiplicity 2)